(1)
Theoretical XRD peak list of Pm4Er9Tl11 for Cu Kα, from the GGA-PBE geometry in Alexandria.
Kinematic intensities with the Lorentz-polarization factor, no thermal factor.

abc: 14.109 14.109 3.562
angles: 90.00 90.00 109.82
Sites, in units of the cell vectors:
Pm  0.088  0.250  0.000
Pm  0.250  0.088  0.000
Pm  0.750  0.912  0.000
Pm  0.912  0.750  0.000
Er  0.000  0.000  0.000
Er  0.113  0.661  0.000
Er  0.297  0.488  0.000
Er  0.339  0.887  0.000
Er  0.488  0.297  0.000
Er  0.512  0.703  0.000
Er  0.661  0.113  0.000
Er  0.703  0.512  0.000
Er  0.887  0.339  0.000
Tl  0.091  0.455  0.500
Tl  0.124  0.876  0.500
Tl  0.296  0.296  0.500
Tl  0.312  0.688  0.500
Tl  0.455  0.091  0.500
Tl  0.500  0.500  0.500
Tl  0.545  0.909  0.500
Tl  0.688  0.312  0.500
Tl  0.704  0.704  0.500
Tl  0.876  0.124  0.500
Tl  0.909  0.545  0.500

Top 8 peaks for 15° ≤ 2θ ≤ 90°, low angle first:
- d 2.792, 32.06 deg, I = 72.3
- d 2.779, 32.21 deg, I = 79.5
- d 2.676, 33.48 deg, I = 100.0
- d 2.655, 33.76 deg, I = 80.8
- d 2.613, 34.31 deg, I = 93.0
- d 2.386, 37.70 deg, I = 36.4
- d 1.580, 58.41 deg, I = 52.7
- d 1.519, 61.00 deg, I = 43.7


(2)
Theoretical XRD peak list of K3Tl3Au2 for Cu Kα, from the GGA-PBE geometry in Alexandria.
Kinematic intensities with the Lorentz-polarization factor, no thermal factor.

abc: 9.110 17.822 6.583
angles: 90.00 90.00 90.00
Sites, in units of the cell vectors:
K  0.036  0.109  0.103
K  0.036  0.391  0.103
K  0.182  0.250  0.631
K  0.318  0.750  0.131
K  0.464  0.609  0.603
K  0.464  0.891  0.603
K  0.536  0.109  0.397
K  0.536  0.391  0.397
K  0.682  0.250  0.869
K  0.818  0.750  0.369
K  0.964  0.609  0.897
K  0.964  0.891  0.897
Tl  0.165  0.750  0.622
Tl  0.183  0.036  0.606
Tl  0.183  0.464  0.606
Tl  0.317  0.536  0.106
Tl  0.317  0.964  0.106
Tl  0.335  0.250  0.122
Tl  0.665  0.750  0.878
Tl  0.683  0.036  0.894
Tl  0.683  0.464  0.894
Tl  0.817  0.536  0.394
Tl  0.817  0.964  0.394
Tl  0.835  0.250  0.378
Au  0.106  0.613  0.398
Au  0.106  0.887  0.398
Au  0.394  0.113  0.898
Au  0.394  0.387  0.898
Au  0.606  0.613  0.102
Au  0.606  0.887  0.102
Au  0.894  0.113  0.602
Au  0.894  0.387  0.602

Top 8 peaks for 15° ≤ 2θ ≤ 90°, low angle first:
- d 5.336, 16.62 deg, I = 90.9
- d 4.411, 20.13 deg, I = 100.0
- d 2.867, 31.20 deg, I = 64.4
- d 2.757, 32.47 deg, I = 49.8
- d 2.745, 32.62 deg, I = 59.7
- d 2.542, 35.31 deg, I = 75.4
- d 2.298, 39.21 deg, I = 49.5
- d 2.222, 40.59 deg, I = 39.5


(3)
Theoretical XRD peak list of NaSmIn4 for Cu Kα, from the GGA-PBE geometry in Alexandria.
Kinematic intensities with the Lorentz-polarization factor, no thermal factor.

abc: 3.586 5.009 8.869
angles: 90.00 90.00 90.00
Sites, in units of the cell vectors:
Na  0.000  0.000  0.000
Sm  0.000  0.500  0.500
In  0.500  0.000  0.335
In  0.500  0.000  0.665
In  0.500  0.500  0.165
In  0.500  0.500  0.835

Top 8 peaks for 15° ≤ 2θ ≤ 90°, low angle first:
- d 3.586, 24.83 deg, I = 25.1
- d 2.788, 32.10 deg, I = 47.8
- d 2.770, 32.32 deg, I = 100.0
- d 2.546, 35.25 deg, I = 95.8
- d 2.504, 35.86 deg, I = 45.7
- d 2.076, 43.60 deg, I = 21.8
- d 1.863, 48.88 deg, I = 28.9
- d 1.466, 63.46 deg, I = 33.2


(4)
Theoretical XRD peak list of Ag3IBr2 for Cu Kα, from the GGA-PBE geometry in Alexandria.
Kinematic intensities with the Lorentz-polarization factor, no thermal factor.

abc: 15.048 7.857 14.349
angles: 79.48 30.89 69.64
Sites, in units of the cell vectors:
Ag  0.004  0.496  0.004
Ag  0.071  0.918  0.094
Ag  0.156  0.333  0.179
Ag  0.246  0.754  0.246
Ag  0.333  0.156  0.332
Ag  0.406  0.582  0.428
Ag  0.496  0.004  0.496
Ag  0.582  0.406  0.584
Ag  0.666  0.822  0.668
Ag  0.754  0.246  0.754
Ag  0.822  0.666  0.844
Ag  0.918  0.071  0.917
I  0.202  0.540  0.459
I  0.452  0.791  0.710
I  0.540  0.202  0.798
I  0.791  0.452  0.048
Br  0.036  0.706  0.295
Br  0.121  0.121  0.379
Br  0.287  0.955  0.544
Br  0.371  0.371  0.629
Br  0.621  0.621  0.879
Br  0.706  0.036  0.963
Br  0.871  0.871  0.129
Br  0.955  0.287  0.214

Top 8 peaks for 15° ≤ 2θ ≤ 90°, low angle first:
- d 3.704, 24.02 deg, I = 100.0
- d 2.268, 39.74 deg, I = 77.0
- d 1.935, 46.97 deg, I = 46.9
- d 1.604, 57.45 deg, I = 12.4
- d 1.472, 63.17 deg, I = 18.4
- d 1.310, 72.12 deg, I = 24.5
- d 1.235, 77.27 deg, I = 13.5
- d 1.134, 85.64 deg, I = 7.8


(5)
Theoretical XRD peak list of BaAu3Se3 for Cu Kα, from the GGA-PBE geometry in Alexandria.
Kinematic intensities with the Lorentz-polarization factor, no thermal factor.

abc: 5.034 9.377 9.379
angles: 60.01 89.82 89.78
Sites, in units of the cell vectors:
Ba  0.250  0.167  0.167
Ba  0.750  0.833  0.833
Au  0.248  0.320  0.515
Au  0.250  0.666  0.320
Au  0.253  0.515  0.666
Au  0.747  0.485  0.334
Au  0.750  0.334  0.680
Au  0.752  0.680  0.485
Se  0.249  0.919  0.037
Se  0.250  0.037  0.544
Se  0.251  0.544  0.919
Se  0.749  0.456  0.081
Se  0.750  0.963  0.456
Se  0.751  0.081  0.963

Top 8 peaks for 15° ≤ 2θ ≤ 90°, low angle first:
- d 3.433, 25.96 deg, I = 82.7
- d 3.070, 29.09 deg, I = 96.5
- d 2.622, 34.20 deg, I = 81.9
- d 2.517, 35.67 deg, I = 79.7
- d 2.253, 40.03 deg, I = 34.2
- d 2.127, 42.50 deg, I = 54.5
- d 2.057, 44.01 deg, I = 100.0
- d 2.053, 44.10 deg, I = 42.6


(6)
Theoretical XRD peak list of Ba2TcP2N6 for Cu Kα, from the GGA-PBE geometry in Alexandria.
Kinematic intensities with the Lorentz-polarization factor, no thermal factor.

abc: 6.580 6.580 6.580
angles: 51.12 51.12 51.12
Sites, in units of the cell vectors:
Ba  0.216  0.216  0.216
Ba  0.784  0.784  0.784
Tc  0.000  0.000  0.000
P  0.403  0.403  0.403
P  0.597  0.597  0.597
N  0.245  0.245  0.729
N  0.245  0.729  0.245
N  0.271  0.755  0.755
N  0.729  0.245  0.245
N  0.755  0.271  0.755
N  0.755  0.755  0.271

Top 8 peaks for 15° ≤ 2θ ≤ 90°, low angle first:
- d 4.727, 18.77 deg, I = 22.9
- d 3.228, 27.63 deg, I = 33.4
- d 2.839, 31.51 deg, I = 98.8
- d 2.810, 31.85 deg, I = 100.0
- d 2.132, 42.40 deg, I = 24.4
- d 1.997, 45.41 deg, I = 30.0
- d 1.634, 56.32 deg, I = 35.8
- d 1.580, 58.40 deg, I = 21.1